No. 1
Structure and calculated X-ray diffraction stick pattern of Tm2AlZn (the GGA-PBE geometry in the Materials Project; Cu Kα (λ = 1.5418 Å)).

Crystal structure
Cell: 5.0140 5.0140 5.0140 Å, 60.00 60.00 60.00°
Fractional positions:
Tm 0.2500 0.2500 0.2500
Tm 0.7500 0.7500 0.7500
Al 0.0000 0.0000 0.0000
Zn 0.5000 0.5000 0.5000

Principal peaks in the range 15° ≤ 2θ ≤ 90°, most intense first:
2theta  I (rel.)
35.8  100
25.1  37
64.4  36
51.6  18
86.9  16
58.2  15

=====

No. 2
Structure and calculated X-ray diffraction stick pattern of TmAlZn (the GGA-PBE geometry in the Materials Project; Cu Kα (λ = 1.5418 Å)).

Crystal structure
Cell: 4.4875 4.4875 6.8793 Å, 90.00 90.00 120.00°
Fractional positions:
Tm 0.0000 0.0000 0.0000
Tm 0.0000 0.0000 0.5000
Al 0.3333 0.6667 0.2500
Al 0.6667 0.3333 0.7500
Zn 0.3333 0.6667 0.7500
Zn 0.6667 0.3333 0.2500

Principal peaks in the range 15° ≤ 2θ ≤ 90°, most intense first:
2theta  I (rel.)
34.8  100
40.2  51
22.9  43
54.2  28
69.6  26
68.8  20

=====

No. 3
Structure and calculated X-ray diffraction stick pattern of U4Al (the GGA-PBE geometry in the Materials Project; Cu Kα (λ = 1.5418 Å)).

Crystal structure
Cell: 7.1933 7.1933 7.1933 Å, 60.00 60.00 60.00°
Fractional positions:
U 0.1479 0.7840 0.7840
U 0.2160 0.2160 0.2160
U 0.2160 0.2160 0.8521
U 0.2160 0.8521 0.2160
U 0.7840 0.1479 0.7840
U 0.7840 0.7840 0.1479
U 0.7840 0.7840 0.7840
U 0.8521 0.2160 0.2160
Al 0.3750 0.3750 0.3750
Al 0.6250 0.6250 0.6250

Principal peaks in the range 15° ≤ 2θ ≤ 90°, most intense first:
2theta  I (rel.)
30.4  100
46.4  78
15.1  74
38.6  42
35.3  35
65.5  32